For Ba3SrIn, a structure optimized by DFT (PBE) gives the simulated powder diffractogram in this record (Cu Ka).
Lines closer than 0.1° are merged.

Structural model:
Unit cell a=11.8671 b=4.3014 c=10.2484 alpha=90.00 beta=90.00 gamma=90.00
Space group Pmma (No. 51)
Unique sites:
Ba (0.0467, 0.0000, 0.2184) x4
Ba (0.2500, 0.0000, 0.5491) x2
Sr (0.2500, 0.5000, 0.9230) x2
In (0.0000, 0.5000, 0.5000) x2

Most intense lines, 2θ = 10–90°, low angle first:
- (2 0 2), 2θ 22.93, I 25
- (3 0 1), 2θ 24.12, I 29
- (2 1 1), 2θ 27.05, I 100
- (4 0 0), 2θ 30.14, I 27
- (2 1 2), 2θ 31.05, I 56
- (3 1 4), 2θ 47.24, I 22